Starting from the GGA-PBE geometry in Alexandria, the XRD peak list of Na3In2Pb5 was calculated for Cu Ka.

Structure:
Cell: 9.7149 13.0644 10.4669 Å, 90.00 90.00 90.00°
Space group Ibam (No. 72)
Unique sites:
Na  0.0000  0.0000  0.2500
Na  0.2024  0.3755  0.0000
In  0.0344  0.1247  0.0000
Pb  0.0000  0.2507  0.2500
Pb  0.0000  0.5000  0.2500
Pb  0.1513  0.3649  0.5000

Most intense lines, 10° ≤ 2θ ≤ 80°, sorted by position:
18.26°, I = 50, hkl 2 0 0
18.43°, I = 47, hkl 1 2 1
25.01°, I = 37, hkl 2 0 2
32.31°, I = 100, hkl 0 4 2
33.25°, I = 37, hkl 3 1 2
34.27°, I = 42, hkl 0 0 4
34.52°, I = 20, hkl 3 3 0
37.36°, I = 35, hkl 2 4 2



Starting from the GGA-PBE geometry in Alexandria, the XRD peak list of Pu5Ga2Rh4 was calculated for Cu Ka.

Structure:
Cell: 19.9843 3.7990 5.5369 Å, 90.00 92.63 90.00°
Space group C2/m (No. 12)
Unique sites:
Pu  0.0000  0.0000  0.0000
Pu  0.1794  0.5000  0.1699
Pu  0.2406  0.5000  0.7338
Ga  0.1201  0.0000  0.5368
Rh  0.0508  0.5000  0.3258
Rh  0.0878  0.5000  0.8152

Most intense lines, 10° ≤ 2θ ≤ 80°, sorted by position:
27.03°, I = 55, hkl 3 1 0
31.90°, I = 100, hkl 3 1 1
35.99°, I = 60, hkl 5 1 -1
39.51°, I = 41, hkl 7 1 0
40.78°, I = 55, hkl 1 1 2
42.31°, I = 46, hkl 7 1 -1
43.47°, I = 82, hkl 7 1 1
47.89°, I = 60, hkl 0 2 0



Starting from the GGA-PBE geometry in Alexandria, the XRD peak list of LaTm6Sc3 was calculated for Cu Ka.

Structure:
Cell: 9.3542 20.1337 6.2077 Å, 90.00 90.00 90.00°
Space group Cmc2_1 (No. 36)
Unique sites:
La  0.0000  0.1614  0.0000
Tm  0.0000  0.0146  0.2177
Tm  0.0000  0.3036  0.2161
Tm  0.1771  0.2826  0.6736
Tm  0.1786  0.4449  0.4251
Sc  0.0000  0.4154  0.8981
Sc  0.1711  0.1260  0.5231

Most intense lines, 10° ≤ 2θ ≤ 80°, sorted by position:
29.78°, I = 83, hkl 2 4 1
30.13°, I = 43, hkl 0 2 2
32.44°, I = 100, hkl 3 1 1
32.57°, I = 57, hkl 1 7 0
33.21°, I = 83, hkl 1 3 2
34.86°, I = 49, hkl 3 3 1
58.88°, I = 51, hkl 5 7 0
59.28°, I = 39, hkl 6 0 0



Starting from the GGA-PBE geometry in Alexandria, the XRD peak list of Re2As3 was calculated for Cu Ka.

Structure:
Cell: 6.4970 3.1657 8.6205 Å, 90.00 103.29 90.00°
Space group P2_1/m (No. 11)
Unique sites:
Re  0.1113  0.2500  0.1367
Re  0.3120  0.2500  0.5096
As  0.0121  0.7500  0.3525
As  0.2764  0.7500  0.9721
As  0.4962  0.7500  0.7162

Most intense lines, 10° ≤ 2θ ≤ 80°, sorted by position:
15.49°, I = 100, hkl 1 0 -1
31.61°, I = 43, hkl 1 1 0
35.53°, I = 57, hkl 0 1 2
39.44°, I = 60, hkl 2 0 2
40.23°, I = 57, hkl 1 1 2
43.07°, I = 95, hkl 1 1 -3
43.53°, I = 43, hkl 2 1 1
51.11°, I = 59, hkl 3 1 -1



Starting from the GGA-PBE geometry in Alexandria, the XRD peak list of Ti7Zn3Re2 was calculated for Cu Ka.

Structure:
Cell: 4.2224 22.4359 4.3927 Å, 90.00 90.00 90.00°
Space group Cmmm (No. 65)
Unique sites:
Ti  0.0000  0.0000  0.0000
Ti  0.0000  0.0820  0.5000
Ti  0.0000  0.2818  0.0000
Ti  0.0000  0.4169  0.0000
Zn  0.0000  0.3437  0.5000
Zn  0.0000  0.5000  0.5000
Re  0.0000  0.1490  0.0000

Most intense lines, 10° ≤ 2θ ≤ 80°, sorted by position:
15.80°, I = 35, hkl 0 4 0
20.22°, I = 19, hkl 0 0 1
29.61°, I = 18, hkl 1 1 1
31.74°, I = 28, hkl 1 3 1
40.89°, I = 100, hkl 1 7 1
41.10°, I = 28, hkl 0 0 2
42.83°, I = 25, hkl 2 0 0
60.86°, I = 17, hkl 2 0 2



Starting from the GGA-PBE geometry in Alexandria, the XRD peak list of Mg2SiB2Rh5 was calculated for Cu Ka.

Structure:
Cell: 9.3448 9.3448 2.8996 Å, 90.00 90.00 90.00°
Space group P4/mbm (No. 127)
Unique sites:
Mg  0.1745  0.3255  0.0000
Si  0.0000  0.0000  0.0000
B  0.1255  0.6255  0.0000
Rh  0.0000  0.5000  0.5000
Rh  0.0723  0.7908  0.5000

Most intense lines, 10° ≤ 2θ ≤ 80°, sorted by position:
30.24°, I = 47, hkl 3 1 0
30.84°, I = 76, hkl 0 0 1
34.61°, I = 50, hkl 3 2 0
39.77°, I = 83, hkl 4 1 0
43.30°, I = 41, hkl 4 2 0
43.74°, I = 100, hkl 3 1 1
47.03°, I = 56, hkl 3 2 1
51.15°, I = 42, hkl 4 1 1